Entry 1:
Computed powder diffraction line list
Compound: K3YF6
Radiation: a wavelength of 1.5418 Å
Structure: a GGA-PBE-relaxed structure
No peak broadening, texture or thermal motion is included.

Atomic structure:
abc: 6.672 6.672 6.672
angles: 60.00 60.00 60.00
Element x y z (fractional)
K1 0.000 0.000 0.000
K2 0.250 0.250 0.250
K3 0.750 0.750 0.750
Y1 0.500 0.500 0.500
F1 0.269 0.269 0.731
F2 0.269 0.731 0.269
F3 0.269 0.731 0.731
F4 0.731 0.269 0.269
F5 0.731 0.269 0.731
F6 0.731 0.731 0.269

Top 6 peaks for 5° ≤ 2θ ≤ 70°, by angle:
| Position (°2θ) | I_rel |
| --- | --- |
| 16.27 | 29 |
| 18.81 | 32 |
| 26.72 | 100 |
| 38.15 | 64 |
| 47.19 | 37 |
| 55.05 | 37 |

---

Entry 2:
Computed powder diffraction line list
Compound: KZnF3
Radiation: a wavelength of 1.5418 Å
Structure: a GGA-PBE-relaxed structure
No peak broadening, texture or thermal motion is included.

Atomic structure:
abc: 4.132 4.132 4.132
angles: 90.00 90.00 90.00
Element x y z (fractional)
K1 0.000 0.000 0.000
Zn1 0.500 0.500 0.500
F1 0.000 0.500 0.500
F2 0.500 0.000 0.500
F3 0.500 0.500 0.000

Top 6 peaks for 5° ≤ 2θ ≤ 70°, by angle:
| Position (°2θ) | I_rel |
| --- | --- |
| 21.51 | 36 |
| 30.60 | 100 |
| 43.82 | 60 |
| 49.32 | 16 |
| 54.39 | 37 |
| 63.71 | 33 |

---

Entry 3:
Computed powder diffraction line list
Compound: KZrF5
Radiation: a wavelength of 1.5418 Å
Structure: a GGA-PBE-relaxed structure
No peak broadening, texture or thermal motion is included.

Atomic structure:
abc: 7.504 8.622 10.918
angles: 75.21 71.73 66.21
Element x y z (fractional)
K1 0.216 0.006 0.267
K2 0.245 0.657 0.572
K3 0.277 0.322 0.921
K4 0.723 0.678 0.079
K5 0.755 0.343 0.428
K6 0.784 0.994 0.733
Zr1 0.219 0.528 0.245
Zr2 0.240 0.833 0.931
Zr3 0.266 0.159 0.581
Zr4 0.734 0.841 0.419
Zr5 0.760 0.167 0.069
Zr6 0.781 0.472 0.755
F1 0.079 0.736 0.361
F2 0.092 0.058 0.035
F3 0.110 0.385 0.698
F4 0.129 0.627 0.056
F5 0.155 0.334 0.217
F6 0.164 0.010 0.524
F7 0.174 0.373 0.439
F8 0.185 0.052 0.777
F9 0.185 0.745 0.799
F10 0.320 0.741 0.122
F11 0.440 0.508 0.323
F12 0.464 0.923 0.902
F13 0.480 0.221 0.612
F14 0.492 0.098 0.398
F15 0.492 0.388 0.113
F16 0.508 0.612 0.887
F17 0.508 0.902 0.602
F18 0.520 0.779 0.388
F19 0.536 0.077 0.098
F20 0.560 0.492 0.677
F21 0.680 0.259 0.878
F22 0.815 0.255 0.201
F23 0.815 0.948 0.223
F24 0.826 0.627 0.561
F25 0.836 0.990 0.476
F26 0.845 0.666 0.783
F27 0.871 0.373 0.944
F28 0.890 0.615 0.302
F29 0.908 0.942 0.965
F30 0.921 0.264 0.639

Top 6 peaks for 5° ≤ 2θ ≤ 70°, by angle:
| Position (°2θ) | I_rel |
| --- | --- |
| 13.78 | 100 |
| 22.11 | 30 |
| 25.98 | 46 |
| 26.32 | 40 |
| 26.58 | 42 |
| 26.73 | 40 |

---

Entry 4:
Computed powder diffraction line list
Compound: KrF2
Radiation: a wavelength of 1.5418 Å
Structure: a GGA-PBE-relaxed structure
No peak broadening, texture or thermal motion is included.

Atomic structure:
abc: 4.383 4.383 6.668
angles: 90.00 90.00 90.00
Element x y z (fractional)
Kr1 0.000 0.000 0.000
Kr2 0.500 0.500 0.500
F1 0.000 0.000 0.290
F2 0.000 0.000 0.710
F3 0.500 0.500 0.210
F4 0.500 0.500 0.790

Top 6 peaks for 5° ≤ 2θ ≤ 70°, by angle:
| Position (°2θ) | I_rel |
| --- | --- |
| 24.30 | 100 |
| 28.80 | 92 |
| 41.19 | 33 |
| 45.77 | 38 |
| 48.40 | 30 |
| 63.28 | 39 |